(1)
The following is a calculated X-ray powder pattern of NdTm3Tl3. It was derived from a cell relaxed with GGA-PBE, using Cu Kα, 1.54184 Å.
Lines closer than 0.1° are merged.

Crystal structure
a b c (Å): 9.325 9.325 9.325
angles (deg): 90.00 90.00 90.00
Fractional positions:
Nd 0.061 0.439 0.561
Nd 0.439 0.561 0.061
Nd 0.561 0.061 0.439
Nd 0.939 0.939 0.939
Tm 0.096 0.596 0.904
Tm 0.176 0.176 0.176
Tm 0.186 0.814 0.314
Tm 0.314 0.186 0.814
Tm 0.324 0.824 0.676
Tm 0.404 0.404 0.404
Tm 0.596 0.904 0.096
Tm 0.676 0.324 0.824
Tm 0.686 0.686 0.686
Tm 0.814 0.314 0.186
Tm 0.824 0.676 0.324
Tm 0.904 0.096 0.596
Tl 0.001 0.274 0.889
Tl 0.111 0.501 0.226
Tl 0.226 0.111 0.501
Tl 0.274 0.889 0.001
Tl 0.389 0.499 0.726
Tl 0.499 0.726 0.389
Tl 0.501 0.226 0.111
Tl 0.611 0.999 0.774
Tl 0.726 0.389 0.499
Tl 0.774 0.611 0.999
Tl 0.889 0.001 0.274
Tl 0.999 0.774 0.611

Principal peaks in the range 10 to 90 degrees two-theta, sorted by position:
d_spacing, two_theta, I/Imax
2.949, 30.31, 100.0
2.492, 36.04, 71.4
2.085, 43.40, 15.8
1.829, 49.86, 17.0
1.513, 61.28, 24.6
1.439, 64.79, 13.9



(2)
The following is a calculated X-ray powder pattern of RbTaCu2Br8. It was derived from a cell relaxed with GGA-PBE, using Cu Kα, 1.54184 Å.
Lines closer than 0.1° are merged.

Crystal structure
a b c (Å): 12.214 12.214 12.214
angles (deg): 30.67 30.67 30.67
Fractional positions:
Rb 0.000 0.000 0.000
Ta 0.500 0.500 0.500
Cu 0.239 0.239 0.239
Cu 0.761 0.761 0.761
Br 0.156 0.436 0.765
Br 0.235 0.564 0.844
Br 0.306 0.306 0.306
Br 0.436 0.765 0.156
Br 0.564 0.844 0.235
Br 0.694 0.694 0.694
Br 0.765 0.156 0.436
Br 0.844 0.235 0.564

Principal peaks in the range 10 to 90 degrees two-theta, sorted by position:
d_spacing, two_theta, I/Imax
4.709, 18.84, 100.0
3.230, 27.62, 61.4
3.112, 28.68, 38.6
2.482, 36.20, 39.2
2.161, 41.80, 54.9
1.865, 48.84, 44.9



(3)
The following is a calculated X-ray powder pattern of Er2Tl4S5. It was derived from a cell relaxed with GGA-PBE, using Cu Kα, 1.54184 Å.
Lines closer than 0.1° are merged.

Crystal structure
a b c (Å): 24.769 24.769 24.769
angles (deg): 9.33 9.33 9.33
Fractional positions:
Er 0.143 0.143 0.143
Er 0.857 0.857 0.857
Tl 0.311 0.311 0.311
Tl 0.411 0.411 0.411
Tl 0.589 0.589 0.589
Tl 0.689 0.689 0.689
S 0.207 0.207 0.207
S 0.377 0.377 0.377
S 0.500 0.500 0.500
S 0.623 0.623 0.623
S 0.793 0.793 0.793

Principal peaks in the range 10 to 90 degrees two-theta, sorted by position:
d_spacing, two_theta, I/Imax
4.110, 21.62, 51.3
3.429, 25.99, 33.5
3.313, 26.91, 46.1
3.097, 28.83, 100.0
2.014, 45.00, 45.9
1.809, 50.46, 35.5